1.
Diffraction record for Ba2CeNbO6. The powder diffraction line list is theoretical, not measured: it uses a DFT-relaxed cell (PBE, the Materials Project) and Cu Ka.

Structure:
```
10
Lattice="5.285 -3.053 0.000 5.285 3.053 0.000 -3.569 0.000 5.026" Properties=species:S:1:pos:R:3 pbc="T T T"
Ba 1.754 0.000 1.232
Ba 5.246 0.000 3.794
Ce -1.785 0.000 2.513
Nb 5.285 0.000 0.000
O 4.253 1.447 1.035
O 0.261 0.000 3.580
O 2.748 1.447 3.992
O 4.253 -1.447 1.035
O 6.740 0.000 1.446
O 2.748 -1.447 3.992
```

Top 12 peaks for 2θ from 10° to 90°, in order of rising 2θ:
2θ/deg, d (Å), I_rel
28.97, 3.082, 33
29.19, 3.060, 100
29.27, 3.052, 67
41.64, 2.169, 40
41.93, 2.154, 19
51.39, 1.778, 14
51.61, 1.771, 22
51.86, 1.763, 33
51.94, 1.760, 14
60.68, 1.526, 18
68.56, 1.369, 12
83.83, 1.154, 14



2.
Diffraction record for Ba2CeNbO6. The powder diffraction line list is theoretical, not measured: it uses a DFT-relaxed cell (PBE, the Materials Project) and Cu Ka.

Structure:
```
40
Lattice="8.665 0.000 0.000 0.000 8.665 0.000 0.000 0.000 8.665" Properties=species:S:1:pos:R:3 pbc="T T T"
Ba 2.166 2.166 2.166
Ba 2.166 2.166 6.499
Ba 2.166 6.499 2.166
Ba 2.166 6.499 6.499
Ba 6.499 2.166 2.166
Ba 6.499 2.166 6.499
Ba 6.499 6.499 2.166
Ba 6.499 6.499 6.499
Ce 0.000 0.000 0.000
Ce 0.000 4.333 4.333
Ce 4.333 0.000 4.333
Ce 4.333 4.333 0.000
Nb 0.000 0.000 4.333
Nb 0.000 4.333 0.000
Nb 4.333 0.000 0.000
Nb 4.333 4.333 4.333
O 0.158 4.501 6.630
O 0.158 8.497 6.368
O 0.168 2.035 4.491
O 0.168 2.297 8.507
O 2.035 4.491 0.168
O 2.035 8.507 4.165
O 2.297 4.491 4.165
O 2.297 8.507 0.168
O 4.165 2.035 8.507
O 4.165 2.297 4.491
O 4.174 4.501 6.368
O 4.174 8.497 6.630
O 4.491 0.168 2.035
O 4.491 4.165 2.297
O 4.501 6.368 4.174
O 4.501 6.630 0.158
O 6.368 0.158 8.497
O 6.368 4.174 4.501
O 6.630 0.158 4.501
O 6.630 4.174 8.497
O 8.497 6.368 0.158
O 8.497 6.630 4.174
O 8.507 0.168 2.297
O 8.507 4.165 2.035
```

Top 11 peaks for 2θ from 10° to 90°, in order of rising 2θ:
2θ/deg, d (Å), I_rel
17.73, 5.003, 1
29.15, 3.064, 100
34.32, 2.613, 1
35.90, 2.501, 3
41.69, 2.166, 30
45.63, 1.988, 1
51.68, 1.769, 42
60.43, 1.532, 18
68.48, 1.370, 18
76.10, 1.251, 6
83.48, 1.158, 22